The following is a calculated powder diffraction line list of Pm3Pr2Ho. It was derived from a crystal structure in Alexandria, relaxed with GGA-PBE, using Cu Kα (weighted mean of Kα1 and Kα2).
Lines closer than 0.1° are merged.

Cell and atoms:
Unit cell a=6.822 b=17.913 c=3.437 alpha=90.00 beta=90.00 gamma=90.00
Space group Pnnm (No. 58)
Inequivalent atoms, fractional coordinates:
Pm 0.000 0.000 0.000 (multiplicity 2)
Pm 0.243 0.323 0.000 (multiplicity 4)
Pr 0.236 0.151 0.500 (multiplicity 4)
Ho 0.000 0.500 0.000 (multiplicity 2)

Peak list (8 most intense, 5° ≤ 2θ ≤ 70°, in order of rising 2θ)
d (Å)	2θ/deg	I_rel
3.376	26.40	21.1
3.188	27.99	63.3
2.982	29.96	100.0
2.904	30.79	28.2
2.714	33.01	45.0
2.532	35.45	21.5
2.244	40.19	49.4
1.481	62.76	22.9